Starting from a DFT-relaxed cell (PBE, Alexandria), the powder X-ray diffraction pattern of La2Pr2Pt3 was computed for Cu Kα, 1.54184 Å.
Kinematic intensities with the Lorentz-polarization factor, no thermal factor.

Cell and atoms:
```
data_La2Pr2Pt3
_symmetry_space_group_name_H-M 'I 21 3'
_symmetry_Int_Tables_number 199
_symmetry_space_group_name_Hall 'I 2b 2c 3'
_cell_length_a 9.128
_cell_length_b 9.128
_cell_length_c 9.128
_cell_angle_alpha 90.00
_cell_angle_beta 90.00
_cell_angle_gamma 90.00
loop_
_atom_site_label
_atom_site_fract_x
_atom_site_fract_y
_atom_site_fract_z
La1 0.192 0.308 0.692
Pr1 0.060 0.060 0.060
Pt1 0.000 0.250 0.372
```

The 10 most intense peaks (2θ from 10° to 80°), in order of rising 2θ:
| hkl | two_theta | d/Å | I (rel.) |
| --- | --- | --- | --- |
| 2 1 1 | 23.88 | 3.727 | 13 |
| 3 0 1 | 30.98 | 2.887 | 100 |
| 3 2 1 | 36.84 | 2.440 | 51 |
| 4 2 0 | 44.38 | 2.041 | 18 |
| 3 3 2 | 46.67 | 1.946 | 14 |
| 4 2 2 | 48.88 | 1.863 | 11 |
| 4 1 3 | 51.01 | 1.790 | 27 |
| 6 1 1 | 62.75 | 1.481 | 27 |
| 5 1 4 | 66.37 | 1.409 | 10 |
| 7 2 1 | 76.72 | 1.242 | 22 |